Structure and calculated PXRD pattern of Sm2Th3Sc3 (a PBE-relaxed structure; Cu Kα).
No peak broadening, texture or thermal motion is included.

Principal peaks in the range 2θ from 15° to 90°, by angle:
two_theta, d/Å, I/Imax
20.07, 4.424, 26
23.21, 3.832, 19
25.29, 3.522, 40
30.87, 2.896, 100
32.49, 2.755, 52
34.59, 2.593, 28
40.32, 2.237, 75
51.97, 1.760, 19
61.37, 1.511, 29
61.64, 1.505, 29

Structural model:
```
data_Sm2Th3Sc3
_cell_length_a 8.8487
_cell_length_b 8.8487
_cell_length_c 3.5219
_cell_angle_alpha 90.00
_cell_angle_beta 90.00
_cell_angle_gamma 120.00
_symmetry_space_group_name_H-M 'P -6 2 m'
_symmetry_Int_Tables_number 189
_symmetry_space_group_name_Hall 'P -6 -2'
loop_
_atom_site_label
_atom_site_fract_x
_atom_site_fract_y
_atom_site_fract_z
_atom_site_occupancy
Sm1 0.3333 0.6667 0.0000 1
Th1 0.0000 0.2304 0.0000 1
Sc1 0.0000 0.6091 0.5000 1
```